# 1
# Sr6Ca5
Calculated X-ray powder pattern, Cu Kα X-rays. Input: a crystal structure in Alexandria, relaxed with PBE.
Peak positions follow from Bragg's law for the DFT cell and can differ from measured ones.

Most intense lines, 10 to 90 degrees two-theta, in order of rising 2θ:
d (Å), I_rel, hkl
3.994, 66, 1 3 -1
3.514, 72, 3 1 0
3.409, 61, 1 3 1
3.324, 78, 2 0 -2
3.210, 61, 0 4 1
3.051, 100, 3 3 -1
2.676, 40, 1 1 2
1.733, 31, 4 0 2

Atomic structure:
a b c (Å): 11.8001 14.9894 6.7729
angles (deg): 90.00 113.23 90.00
Space group C2/m (No. 12)
One atom of each set of equivalent atoms:
Sr: 0.1883 0.0000 0.1603 x4
Sr: 0.1902 0.1485 0.6586 x8
Ca: 0.0000 0.2345 0.0000 x4
Ca: 0.0000 0.3723 0.5000 x4
Ca: 0.0000 0.5000 0.0000 x2



# 2
# TmPaB12
Calculated X-ray powder pattern, Cu Kα X-rays. Input: a crystal structure in Alexandria, relaxed with PBE.
Peak positions follow from Bragg's law for the DFT cell and can differ from measured ones.

Most intense lines, 10 to 90 degrees two-theta, in order of rising 2θ:
d (Å), I_rel, hkl
4.075, 78, 1 0 0
2.882, 100, 1 1 0
2.353, 42, 1 1 2
2.038, 21, 2 0 0
1.822, 52, 2 1 0
1.664, 31, 2 1 2
1.359, 18, 2 1 4
1.288, 13, 3 1 0

Atomic structure:
a b c (Å): 4.0724 4.0724 8.1612
angles (deg): 90.00 90.00 90.00
Space group P4/mmm (No. 123)
One atom of each set of equivalent atoms:
Tm: 0.0000 0.0000 0.0000 x1
Pa: 0.0000 0.0000 0.5000 x1
B: 0.1974 0.5000 0.2497 x8
B: 0.5000 0.5000 0.0988 x2
B: 0.5000 0.5000 0.4014 x2



# 3
# TiV2W6
Calculated X-ray powder pattern, Cu Kα X-rays. Input: a crystal structure in Alexandria, relaxed with PBE.
Peak positions follow from Bragg's law for the DFT cell and can differ from measured ones.

Most intense lines, 10 to 90 degrees two-theta, in order of rising 2θ:
d (Å), I_rel, hkl
4.218, 67, 1 0 1
3.019, 27, 0 0 2
2.251, 52, 2 0 1
2.241, 100, 1 2 0
2.192, 40, 0 2 2
2.131, 37, 1 0 -2
2.125, 37, 1 0 3
1.570, 28, 2 2 3

Atomic structure:
a b c (Å): 4.5021 5.5230 6.4983
angles (deg): 82.03 69.93 89.91
Space group P-1 (No. 2)
One atom of each set of equivalent atoms:
Ti: 0.0000 0.0000 0.0000 x1
V: 0.0990 0.4772 0.8022 x2
W: 0.2935 0.3455 0.4125 x2
W: 0.2998 0.8598 0.3988 x2
W: 0.4985 0.2556 0.0025 x2



# 4
# Na2CePtO6
Calculated X-ray powder pattern, Cu Kα X-rays. Input: a crystal structure in Alexandria, relaxed with PBE.
Peak positions follow from Bragg's law for the DFT cell and can differ from measured ones.

Most intense lines, 10 to 90 degrees two-theta, in order of rising 2θ:
d (Å), I_rel, hkl
4.063, 100, 1 1 -1
2.900, 18, 0 2 0
2.881, 35, 1 1 1
2.865, 35, 1 1 -3
2.847, 16, 2 0 -2
2.031, 30, 0 0 4
1.821, 15, 1 1 3
1.813, 15, 2 2 -4

Atomic structure:
a b c (Å): 5.6947 5.8004 9.8848
angles (deg): 90.00 124.74 90.00
Space group P2_1/c (No. 14)
One atom of each set of equivalent atoms:
Na: 0.2410 0.0371 0.2504 x4
Ce: 0.5000 0.0000 0.0000 x2
Pt: 0.0000 0.0000 0.5000 x2
O: 0.1389 0.2225 0.9520 x4
O: 0.2344 0.6920 0.9558 x4
O: 0.3204 0.0257 0.7335 x4